The following is a theoretical powder diffraction line list of TeMoS2F. It was derived from a crystal structure in Alexandria, relaxed with PBE+U, using Cu Kα, 1.54184 Å.
Lines closer than 0.1° are merged.

Main lines, sorted by position (5 to 70 degrees two-theta):
2θ (°)  I/Imax
17.90  1000
25.42  319
31.04  303
36.06  344
36.25  391
40.71  245
48.46  328
52.06  240

Cell and atoms:
```
5
Lattice="4.9556 0.0000 0.0000 0.0000 4.9556 0.0000 0.0000 0.0000 5.7620" Properties=species:S:1:pos:R:3 pbc="T T T"
Te 0.0000 0.0000 0.0000
Mo 0.0000 0.0000 2.8810
S 0.0000 2.4778 0.0000
S 2.4778 0.0000 0.0000
F 2.4778 2.4778 2.8810
```